# 1
Diffraction record for Dy2Ho3Hg6. The PXRD pattern is calculated, not measured: it uses DFT lattice parameters and positions (GGA-PBE) and CuKα.

Principal peaks in the range 2θ from 10° to 80°, by angle:
| 2theta | I (rel.) | hkl |
| --- | --- | --- |
| 20.14 | 17 | 0 0 6 |
| 25.76 | 49 | 1 1 2 |
| 32.18 | 15 | 1 1 6 |
| 35.43 | 61 | 2 0 0 |
| 36.97 | 100 | 1 1 8 |
| 49.81 | 11 | 2 0 10 |
| 50.98 | 22 | 2 2 0 |
| 57.98 | 11 | 3 1 2 |
| 64.63 | 40 | 3 1 8 |
| 67.62 | 13 | 2 0 16 |

Structural model:
a = 5.067 Å, b = 5.067 Å, c = 26.480 Å
α = 90.00°, β = 90.00°, γ = 90.00°
Space group I4/mmm (No. 139)
Symmetry-distinct sites (fractional):
Dy1 0.000 0.000 0.130 (multiplicity 4)
Ho1 0.000 0.000 0.363 (multiplicity 4)
Ho2 0.000 0.000 0.500 (multiplicity 2)
Hg1 0.000 0.000 0.246 (multiplicity 4)
Hg2 0.000 0.500 0.066 (multiplicity 8)

***

# 2
Diffraction record for Np2NiSe3. The PXRD pattern is calculated, not measured: it uses DFT lattice parameters and positions (GGA-PBE) and CuKα.

Principal peaks in the range 2θ from 10° to 80°, by angle:
| 2theta | I (rel.) | hkl |
| --- | --- | --- |
| 21.86 | 97 | 2 0 2 |
| 28.24 | 37 | 0 0 4 |
| 31.09 | 47 | 0 1 3 |
| 31.63 | 37 | 2 1 2 |
| 32.24 | 100 | 1 1 3 |
| 34.81 | 32 | 3 1 1 |
| 35.49 | 72 | 2 1 3 |
| 45.96 | 34 | 2 1 5 |
| 46.11 | 47 | 0 2 0 |
| 46.37 | 34 | 2 0 6 |

Structural model:
a = 10.623 Å, b = 3.937 Å, c = 12.638 Å
α = 90.00°, β = 90.00°, γ = 90.00°
Space group Pnma (No. 62)
Symmetry-distinct sites (fractional):
Np1 0.018 0.250 0.232 (multiplicity 4)
Np2 0.208 0.750 0.499 (multiplicity 4)
Ni1 0.232 0.250 0.724 (multiplicity 4)
Se1 0.050 0.250 0.612 (multiplicity 4)
Se2 0.111 0.750 0.089 (multiplicity 4)
Se3 0.242 0.750 0.831 (multiplicity 4)

***

# 3
Diffraction record for Tc2Rh5. The PXRD pattern is calculated, not measured: it uses DFT lattice parameters and positions (GGA-PBE) and CuKα.

Principal peaks in the range 2θ from 10° to 80°, by angle:
| 2theta | I (rel.) | hkl |
| --- | --- | --- |
| 31.94 | 24 | 3 1 0 |
| 33.27 | 25 | 0 0 1 |
| 39.15 | 29 | 2 0 1 |
| 40.50 | 58 | 2 1 1 |
| 42.04 | 100 | 4 1 0 |
| 43.32 | 42 | 3 3 0 |
| 44.36 | 26 | 2 2 1 |
| 46.79 | 66 | 3 1 1 |
| 50.26 | 33 | 3 2 1 |
| 76.67 | 18 | 6 2 1 |

Structural model:
a = 8.861 Å, b = 8.861 Å, c = 2.693 Å
α = 90.00°, β = 90.00°, γ = 90.00°
Space group P4/mbm (No. 127)
Symmetry-distinct sites (fractional):
Tc1 0.184 0.316 0.000 (multiplicity 4)
Rh1 0.000 0.500 0.500 (multiplicity 2)
Rh2 0.058 0.796 0.500 (multiplicity 8)

***

# 4
Diffraction record for Na2PtCl4. The PXRD pattern is calculated, not measured: it uses DFT lattice parameters and positions (GGA-PBE) and CuKα.

Principal peaks in the range 2θ from 10° to 80°, by angle:
| 2theta | I (rel.) | hkl |
| --- | --- | --- |
| 17.52 | 100 | 1 0 1 |
| 18.41 | 22 | 1 1 0 |
| 23.54 | 27 | 0 0 2 |
| 30.05 | 39 | 1 1 2 |
| 31.65 | 39 | 2 1 1 |
| 37.32 | 27 | 2 2 0 |
| 38.07 | 14 | 1 0 3 |
| 44.59 | 18 | 2 2 2 |
| 48.63 | 20 | 3 1 2 |
| 49.72 | 16 | 3 2 1 |

Structural model:
a = 6.816 Å, b = 6.816 Å, c = 7.560 Å
α = 90.00°, β = 90.00°, γ = 90.00°
Space group I4/mmm (No. 139)
Symmetry-distinct sites (fractional):
Na1 0.000 0.500 0.250 (multiplicity 4)
Pt1 0.000 0.000 0.000 (multiplicity 2)
Cl1 0.240 0.240 0.000 (multiplicity 8)

***

# 5
Diffraction record for La3ReN5. The PXRD pattern is calculated, not measured: it uses DFT lattice parameters and positions (GGA-PBE) and CuKα.

Principal peaks in the range 2θ from 10° to 80°, by angle:
| 2theta | I (rel.) | hkl |
| --- | --- | --- |
| 29.78 | 28 | 2 1 1 |
| 29.92 | 100 | 2 0 2 |
| 30.45 | 36 | 0 0 4 |
| 36.63 | 26 | 2 2 0 |
| 36.97 | 30 | 2 1 3 |
| 48.35 | 22 | 2 2 4 |
| 53.78 | 21 | 2 0 6 |
| 55.18 | 21 | 4 0 2 |
| 59.59 | 10 | 4 2 0 |
| 68.39 | 12 | 4 2 4 |

Structural model:
a = 6.939 Å, b = 6.939 Å, c = 11.741 Å
α = 90.00°, β = 90.00°, γ = 90.00°
Space group I4/mcm (No. 140)
Symmetry-distinct sites (fractional):
La1 0.000 0.000 0.250 (multiplicity 4)
La2 0.175 0.325 0.000 (multiplicity 8)
Re1 0.000 0.500 0.250 (multiplicity 4)
N1 0.000 0.000 0.000 (multiplicity 4)
N2 0.147 0.353 0.348 (multiplicity 16)

***

# 6
Diffraction record for Mn4RuPt3. The PXRD pattern is calculated, not measured: it uses DFT lattice parameters and positions (GGA-PBE) and CuKα.

Principal peaks in the range 2θ from 10° to 80°, by angle:
| 2theta | I (rel.) | hkl |
| --- | --- | --- |
| 24.69 | 23 | 0 0 4 |
| 31.51 | 25 | 1 0 0 |
| 40.44 | 100 | 1 0 4 |
| 45.16 | 37 | 1 1 0 |
| 50.64 | 12 | 0 0 8 |
| 52.14 | 13 | 1 1 4 |
| 60.87 | 8 | 1 0 8 |
| 65.78 | 12 | 2 0 0 |
| 70.16 | 18 | 1 1 8 |
| 71.41 | 5 | 2 0 4 |

Structural model:
a = 2.839 Å, b = 2.839 Å, c = 14.421 Å
α = 90.00°, β = 90.00°, γ = 90.00°
Space group P4/mmm (No. 123)
Symmetry-distinct sites (fractional):
Mn1 0.000 0.000 0.117 (multiplicity 2)
Mn2 0.000 0.000 0.373 (multiplicity 2)
Ru1 0.500 0.500 0.000 (multiplicity 1)
Pt1 0.500 0.500 0.244 (multiplicity 2)
Pt2 0.500 0.500 0.500 (multiplicity 1)

***

# 7
Diffraction record for CsTl2Ag2Te2. The PXRD pattern is calculated, not measured: it uses DFT lattice parameters and positions (GGA-PBE) and CuKα.

Principal peaks in the range 2θ from 10° to 80°, by angle:
| 2theta | I (rel.) | hkl |
| --- | --- | --- |
| 27.65 | 100 | 1 0 7 |
| 29.33 | 26 | 0 1 8 |
| 33.05 | 17 | 1 0 10 |
| 37.40 | 65 | 1 1 0 |
| 41.53 | 14 | 0 1 14 |
| 47.14 | 23 | 0 2 7 |
| 54.23 | 9 | 1 1 15 |
| 60.52 | 9 | 1 1 18 |
| 61.66 | 21 | 2 1 7 |
| 67.46 | 17 | 3 0 0 |

Structural model:
a = 4.8096 Å, b = 4.8096 Å, c = 35.6916 Å
α = 90.00°, β = 90.00°, γ = 120.00°
Space group R-3m (No. 166, hexagonal axes)
Symmetry-distinct sites (fractional):
Cs1 0.0000 0.0000 0.0000 (multiplicity 3)
Tl1 0.0000 0.0000 0.1400 (multiplicity 6)
Ag1 0.0000 0.0000 0.4268 (multiplicity 6)
Te1 0.0000 0.0000 0.2576 (multiplicity 6)

***

# 8
Diffraction record for KNb4HO5. The PXRD pattern is calculated, not measured: it uses DFT lattice parameters and positions (GGA-PBE) and CuKα.

Principal peaks in the range 2θ from 10° to 80°, by angle:
| 2theta | I (rel.) | hkl |
| --- | --- | --- |
| 10.95 | 100 | 0 0 1 |
| 21.02 | 33 | 1 0 0 |
| 30.61 | 87 | 1 0 2 |
| 31.93 | 57 | 1 1 1 |
| 37.43 | 54 | 1 1 2 |
| 42.79 | 69 | 2 0 0 |
| 44.87 | 30 | 0 0 4 |
| 45.33 | 23 | 1 1 3 |
| 53.53 | 33 | 2 1 2 |
| 63.74 | 38 | 2 0 4 |

Structural model:
a = 4.226 Å, b = 4.226 Å, c = 8.080 Å
α = 90.00°, β = 90.00°, γ = 90.00°
Space group P4/mmm (No. 123)
Symmetry-distinct sites (fractional):
K1 0.000 0.000 0.000 (multiplicity 1)
Nb1 0.000 0.500 0.500 (multiplicity 2)
Nb2 0.500 0.500 0.248 (multiplicity 2)
H1 0.500 0.500 0.000 (multiplicity 1)
O1 0.000 0.000 0.500 (multiplicity 1)
O2 0.000 0.500 0.238 (multiplicity 4)